1.
# Gd2CoCuN2
Calculated powder diffractogram, CuKα. Input: a structure optimized by DFT (GGA-PBE).

The 12 most intense peaks (10° ≤ 2θ ≤ 90°), in order of falling intensity:
Position (°2θ)	d_spacing	I/Imax
35.9	2.502	100
34.8	2.574	95
36.9	2.433	92
62.5	1.487	39
64.6	1.444	35
66.6	1.405	29
44.4	2.042	24
48.5	1.878	23
23.7	3.757	23
25.2	3.535	20
51.7	1.767	19
54.7	1.677	16

Unit cell a=3.5348 b=3.7568 c=6.7068 alpha=90.00 beta=90.00 gamma=90.00
Space group Pmmm (No. 47)
Symmetry-distinct sites (fractional):
Gd 0.0000 0.0000 0.2481 [2 per cell]
Co 0.5000 0.5000 0.0000 [1 per cell]
Cu 0.5000 0.5000 0.5000 [1 per cell]
N 0.0000 0.5000 0.0000 [1 per cell]
N 0.5000 0.0000 0.5000 [1 per cell]

2.
# ZrPO4
Calculated powder diffractogram, CuKα. Input: a structure optimized by DFT (GGA-PBE).

The 12 most intense peaks (10° ≤ 2θ ≤ 90°), in order of falling intensity:
Position (°2θ)	d_spacing	I/Imax
24.6	3.615	100
17.1	5.181	29
34.6	2.591	19
50.0	1.826	17
47.1	1.928	16
19.3	4.609	12
59.8	1.547	10
66.3	1.411	9
34.9	2.573	9
47.3	1.922	8
39.7	2.268	7
29.9	2.991	7

Unit cell a=5.9828 b=5.9828 c=10.0900 alpha=90.00 beta=90.00 gamma=120.00
Space group P6_422 (No. 181)
Symmetry-distinct sites (fractional):
Zr 0.0000 0.5000 0.3333 [3 per cell]
P 0.0000 0.5000 0.8333 [3 per cell]
O 0.1565 0.4240 0.7425 [12 per cell]

3.
# SrIn3Cu3
Calculated powder diffractogram, CuKα. Input: a structure optimized by DFT (GGA-PBE).

The 12 most intense peaks (10° ≤ 2θ ≤ 90°), in order of falling intensity:
Position (°2θ)	d_spacing	I/Imax
32.8	2.730	100
41.3	2.186	46
39.0	2.312	33
41.1	2.198	32
44.3	2.045	31
32.9	2.719	29
28.9	3.090	25
59.7	1.549	22
89.6	1.094	18
31.2	2.866	18
37.1	2.423	17
53.8	1.704	15

Unit cell a=4.3737 b=7.6263 c=8.7317 alpha=90.00 beta=90.00 gamma=90.00
Space group Pmmn (No. 59, origin choice 2)
Symmetry-distinct sites (fractional):
Sr 0.2500 0.2500 0.2310 [2 per cell]
In 0.2500 0.0532 0.6224 [4 per cell]
In 0.2500 0.7500 0.1291 [2 per cell]
Cu 0.2500 0.0251 0.9275 [4 per cell]
Cu 0.2500 0.7500 0.4551 [2 per cell]

4.
# Zn2ReO4
Calculated powder diffractogram, CuKα. Input: a structure optimized by DFT (GGA-PBE).

The 12 most intense peaks (10° ≤ 2θ ≤ 90°), in order of falling intensity:
Position (°2θ)	d_spacing	I/Imax
34.5	2.602	100
29.3	3.051	64
55.3	1.661	36
60.7	1.525	34
51.9	1.761	27
86.7	1.123	21
83.9	1.153	14
17.8	4.982	12
71.7	1.316	12
68.8	1.364	11
45.8	1.980	5
36.1	2.491	4

Unit cell a=8.6290 b=8.6290 c=8.6290 alpha=90.00 beta=90.00 gamma=90.00
Space group Fd-3m (No. 227, origin choice 2)
Symmetry-distinct sites (fractional):
Zn 0.0000 0.0000 0.0000 [16 per cell]
Re 0.1250 0.1250 0.6250 [8 per cell]
O 0.0052 0.0052 0.2448 [32 per cell]

5.
# CdGeAu2
Calculated powder diffractogram, CuKα. Input: a structure optimized by DFT (GGA-PBE).

The 10 most intense peaks (10° ≤ 2θ ≤ 90°), in order of falling intensity:
Position (°2θ)	d_spacing	I/Imax
37.5	2.396	100
67.7	1.383	35
54.1	1.694	17
22.7	3.913	15
80.1	1.198	11
44.3	2.043	8
59.4	1.555	4
84.6	1.146	3
72.5	1.304	3
26.3	3.389	1

Unit cell a=6.7772 b=6.7772 c=6.7772 alpha=90.00 beta=90.00 gamma=90.00
Space group F-43m (No. 216)
Symmetry-distinct sites (fractional):
Cd 0.0000 0.0000 0.0000 [4 per cell]
Ge 0.2500 0.2500 0.7500 [4 per cell]
Au 0.0000 0.0000 0.5000 [4 per cell]
Au 0.2500 0.2500 0.2500 [4 per cell]

6.
# LiCuNiBi
Calculated powder diffractogram, CuKα. Input: a structure optimized by DFT (GGA-PBE).

The 11 most intense peaks (10° ≤ 2θ ≤ 90°), in order of falling intensity:
Position (°2θ)	d_spacing	I/Imax
41.1	2.194	100
24.8	3.584	46
28.8	3.103	45
75.0	1.267	34
48.7	1.871	24
67.5	1.388	17
59.6	1.552	17
51.0	1.792	13
89.3	1.097	11
65.6	1.424	10
80.4	1.195	8

Unit cell a=6.2069 b=6.2069 c=6.2069 alpha=90.00 beta=90.00 gamma=90.00
Space group F-43m (No. 216)
Symmetry-distinct sites (fractional):
Li 0.0000 0.0000 0.0000 [4 per cell]
Cu 0.2500 0.2500 0.7500 [4 per cell]
Ni 0.0000 0.0000 0.5000 [4 per cell]
Bi 0.2500 0.2500 0.2500 [4 per cell]

7.
# DyHoTlCo2
Calculated powder diffractogram, CuKα. Input: a structure optimized by DFT (GGA-PBE).

The 12 most intense peaks (10° ≤ 2θ ≤ 90°), in order of falling intensity:
Position (°2θ)	d_spacing	I/Imax
33.7	2.656	100
34.7	2.588	75
30.2	2.958	53
60.2	1.536	30
39.9	2.262	29
38.5	2.340	25
47.5	1.916	21
47.6	1.909	21
57.2	1.611	20
57.3	1.608	18
69.5	1.352	17
63.7	1.462	14

Unit cell a=3.8317 b=3.8190 c=14.0353 alpha=90.00 beta=90.00 gamma=90.00
Space group Amm2 (No. 38)
Symmetry-distinct sites (fractional):
Dy 0.0000 0.0000 0.0000 [2 per cell]
Ho 0.0000 0.0000 0.7190 [2 per cell]
Tl 0.5000 0.0000 0.3594 [2 per cell]
Co 0.5000 0.0000 0.1534 [2 per cell]
Co 0.5000 0.0000 0.5659 [2 per cell]

8.
# Sr5Nb5O17
Calculated powder diffractogram, CuKα. Input: a structure optimized by DFT (GGA-PBE).

The 12 most intense peaks (10° ≤ 2θ ≤ 90°), in order of falling intensity:
Position (°2θ)	d_spacing	I/Imax
29.3	3.050	100
31.8	2.813	97
31.4	2.846	44
27.4	3.256	42
45.0	2.015	42
42.2	2.143	28
46.2	1.964	27
56.2	1.637	23
27.7	3.224	20
55.9	1.644	19
54.6	1.680	18
53.5	1.714	17

Unit cell a=5.6923 b=32.5594 c=4.0296 alpha=90.00 beta=90.00 gamma=90.00
Space group Pnnm (No. 58)
Symmetry-distinct sites (fractional):
Sr 0.0000 0.0000 0.0000 [2 per cell]
Sr 0.0052 0.4098 0.5000 [4 per cell]
Sr 0.0673 0.7847 0.0000 [4 per cell]
Nb 0.0000 0.5000 0.0000 [2 per cell]
Nb 0.0038 0.9093 0.5000 [4 per cell]
Nb 0.0330 0.6779 0.0000 [4 per cell]
O 0.0000 0.5000 0.5000 [2 per cell]
O 0.0014 0.6697 0.5000 [4 per cell]
O 0.0089 0.0839 0.0000 [4 per cell]
O 0.1845 0.2782 0.0000 [4 per cell]
O 0.1985 0.2097 0.5000 [4 per cell]
O 0.2004 0.6201 0.0000 [4 per cell]
O 0.2140 0.0360 0.5000 [4 per cell]
O 0.2190 0.4507 0.0000 [4 per cell]
O 0.2192 0.8657 0.5000 [4 per cell]

9.
# Hf3AlZn2PdPt2
Calculated powder diffractogram, CuKα. Input: a structure optimized by DFT (GGA-PBE).

The 12 most intense peaks (10° ≤ 2θ ≤ 90°), in order of falling intensity:
Position (°2θ)	d_spacing	I/Imax
35.7	2.513	100
38.8	2.322	74
38.6	2.335	74
35.9	2.500	69
43.9	2.064	56
24.7	3.599	33
52.1	1.755	32
70.4	1.337	27
43.4	2.085	24
38.3	2.350	23
14.3	6.191	22
71.3	1.323	21

Unit cell a=3.5102 b=12.5097 c=7.1248 alpha=90.00 beta=90.00 gamma=90.00
Space group Amm2 (No. 38)
Symmetry-distinct sites (fractional):
Hf 0.0000 0.0000 0.0000 [2 per cell]
Hf 0.0000 0.2046 0.4052 [4 per cell]
Al 0.5000 0.0000 0.3461 [2 per cell]
Zn 0.5000 0.1332 0.7340 [4 per cell]
Pd 0.0000 0.0000 0.5975 [2 per cell]
Pt 0.5000 0.1632 0.1087 [4 per cell]